(1)
For Na3P11, the GGA-PBE geometry in the Materials Project gives the theoretical powder diffractogram in this record (Cu Ka).
Neutral-atom scattering factors, no anomalous dispersion.

Largest 8 diffraction maxima, sorted by position, 2θ = 15–90°:
(hkl)	Position (°2θ)	d_spacing	I/Imax
2 0 0	17.89	4.957	67
1 3 1	24.47	3.637	47
2 2 2	28.39	3.143	89
3 1 1	29.13	3.065	100
3 0 2	31.86	2.809	77
2 4 0	33.69	2.661	53
1 4 2	34.26	2.618	50
1 0 4	34.97	2.566	78

Cell and atoms:
Cell lengths 9.914, 12.617, 10.632 Å; angles 90.00, 90.00, 90.00 degrees
Space group Pbcn (No. 60)
Unique sites:
Na (0.000, 0.249, 0.250) [4 per cell]
Na (0.247, 0.492, 0.577) [8 per cell]
P (0.000, 0.003, 0.250) [4 per cell]
P (0.023, 0.353, 0.509) [8 per cell]
P (0.083, 0.112, 0.882) [8 per cell]
P (0.087, 0.385, 0.816) [8 per cell]
P (0.103, 0.200, 0.570) [8 per cell]
P (0.191, 0.233, 0.763) [8 per cell]

=====

(2)
For ZnGaNO, the GGA-PBE geometry in the Materials Project gives the theoretical powder diffractogram in this record (Cu Ka).
Neutral-atom scattering factors, no anomalous dispersion.

Largest 8 diffraction maxima, sorted by position, 2θ = 15–90°:
(hkl)	Position (°2θ)	d_spacing	I/Imax
2 0 0	31.62	2.830	58
0 0 4	33.92	2.643	46
0 2 2	35.99	2.496	100
2 2 -2	36.07	2.490	20
2 0 -4	47.02	1.932	18
4 2 0	56.36	1.633	26
2 2 -6	62.11	1.495	18
2 -2 4	67.40	1.389	22

Cell and atoms:
Cell lengths 6.530, 6.530, 10.571 Å; angles 89.87, 89.99, 60.15 degrees
Space group P1 (No. 1)
Unique sites:
Zn (0.000, 0.000, 0.000) [1 per cell]
Zn (0.001, 0.484, 0.004) [1 per cell]
Zn (0.173, 0.155, 0.756) [1 per cell]
Zn (0.179, 0.661, 0.241) [1 per cell]
Zn (0.183, 0.651, 0.755) [1 per cell]
Zn (0.508, 0.988, 0.005) [1 per cell]
Zn (0.668, 0.165, 0.758) [1 per cell]
Zn (0.994, 0.495, 0.492) [1 per cell]
Ga (0.009, 0.988, 0.486) [1 per cell]
Ga (0.175, 0.147, 0.235) [1 per cell]
Ga (0.511, 0.497, 0.488) [1 per cell]
Ga (0.511, 0.976, 0.489) [1 per cell]
Ga (0.517, 0.484, 0.997) [1 per cell]
Ga (0.663, 0.657, 0.238) [1 per cell]
Ga (0.666, 0.652, 0.746) [1 per cell]
Ga (0.672, 0.159, 0.239) [1 per cell]
N (0.000, 0.999, 0.308) [1 per cell]
N (0.175, 0.154, 0.057) [1 per cell]
N (0.506, 0.989, 0.308) [1 per cell]
N (0.511, 0.494, 0.811) [1 per cell]
N (0.515, 0.483, 0.309) [1 per cell]
N (0.663, 0.661, 0.560) [1 per cell]
N (0.667, 0.165, 0.058) [1 per cell]
N (0.667, 0.653, 0.059) [1 per cell]
O (0.000, 0.483, 0.302) [1 per cell]
O (0.005, 0.987, 0.797) [1 per cell]
O (0.179, 0.663, 0.548) [1 per cell]
O (0.180, 0.142, 0.550) [1 per cell]
O (0.185, 0.649, 0.049) [1 per cell]
O (0.514, 0.976, 0.795) [1 per cell]
O (0.673, 0.154, 0.548) [1 per cell]
O (0.992, 0.498, 0.795) [1 per cell]